1.
This entry pairs a crystal structure of Cu2O3 with its simulated powder XRD pattern. Radiation: copper Kα. Structure: a structure optimized by DFT (GGA-PBE).
Neutral-atom scattering factors, no anomalous dispersion.

Most intense lines, 2θ = 10–90°, by intensity:
- 33.2°, intensity 100
- 55.7°, intensity 38
- 66.4°, intensity 24
- 38.6°, intensity 23
- 23.3°, intensity 14
- 49.8°, intensity 12
- 45.6°, intensity 7
- 64.7°, intensity 6
- 68.1°, intensity 6
- 61.2°, intensity 4

```
data_Cu2O3
_space_group_name_H-M_alt 'I a -3'
_space_group_IT_number 206
_space_group_name_Hall '-I 2b 2c 3'
_cell_length_a 9.3402
_cell_length_b 9.3402
_cell_length_c 9.3402
_cell_angle_alpha 90.00
_cell_angle_beta 90.00
_cell_angle_gamma 90.00
loop_
_atom_site_label
_atom_site_type_symbol
_atom_site_fract_x
_atom_site_fract_y
_atom_site_fract_z
Cu1 Cu 0.0000 0.2500 0.4660
Cu2 Cu 0.2500 0.2500 0.2500
O1 O 0.1036 0.1217 0.3358
```

2.
This entry pairs a crystal structure of ErSiPt with its simulated powder XRD pattern. Radiation: copper Kα. Structure: a structure optimized by DFT (GGA-PBE).
Neutral-atom scattering factors, no anomalous dispersion.

Most intense lines, 2θ = 10–90°, by intensity:
- 35.4°, intensity 100
- 42.1°, intensity 65
- 27.2°, intensity 61
- 34.4°, intensity 30
- 56.1°, intensity 19
- 40.9°, intensity 17
- 68.3°, intensity 17
- 50.8°, intensity 12
- 60.1°, intensity 11
- 76.6°, intensity 10

```
data_ErSiPt
_space_group_name_H-M_alt 'P n m a'
_space_group_IT_number 62
_cell_length_a 6.9361
_cell_length_b 4.2905
_cell_length_c 7.4483
_cell_angle_alpha 90.00
_cell_angle_beta 90.00
_cell_angle_gamma 90.00
loop_
_space_group_symop_operation_xyz
'x,y,z'
'-x,-y,-z'
'-x+1/2,-y,z+1/2'
'x+1/2,y,-z+1/2'
'x+1/2,-y+1/2,-z+1/2'
'-x+1/2,y+1/2,z+1/2'
'-x,y+1/2,-z'
'x,-y+1/2,z'
loop_
_atom_site_label
_atom_site_type_symbol
_atom_site_fract_x
_atom_site_fract_y
_atom_site_fract_z
Er1 Er 0.0018 0.2500 0.2035
Si1 Si 0.1911 0.2500 0.5886
Pt1 Pt 0.1984 0.7500 0.4156
```

3.
This entry pairs a crystal structure of KMg6Bi with its simulated powder XRD pattern. Radiation: copper Kα. Structure: a structure optimized by DFT (GGA-PBE).
Neutral-atom scattering factors, no anomalous dispersion.

Most intense lines, 2θ = 10–90°, by intensity:
- 22.5°, intensity 100
- 14.7°, intensity 94
- 34.3°, intensity 92
- 34.5°, intensity 40
- 14.8°, intensity 36
- 30.9°, intensity 35
- 34.2°, intensity 29
- 29.6°, intensity 29
- 37.4°, intensity 28
- 16.9°, intensity 26

```
data_KMg6Bi
_space_group_name_H-M_alt 'A m m 2'
_space_group_IT_number 38
_cell_length_a 5.2416
_cell_length_b 6.9793
_cell_length_c 11.9674
_cell_angle_alpha 90.00
_cell_angle_beta 90.00
_cell_angle_gamma 90.00
loop_
_space_group_symop_operation_xyz
'x,y,z'
'-x,-y,z'
'-x,y,z'
'x,-y,z'
'x,y+1/2,z+1/2'
'-x,-y+1/2,z+1/2'
'-x,y+1/2,z+1/2'
'x,-y+1/2,z+1/2'
loop_
_atom_site_label
_atom_site_type_symbol
_atom_site_fract_x
_atom_site_fract_y
_atom_site_fract_z
K1 K 0.0000 0.0000 0.0000
Mg1 Mg 0.0000 0.0000 0.5125
Mg2 Mg 0.0000 0.2470 0.2475
Mg3 Mg 0.5000 0.0000 0.3383
Mg4 Mg 0.5000 0.2247 0.5954
Bi1 Bi 0.5000 0.0000 0.8244
```

What did the first record say?
This entry pairs a crystal structure of Cu2O3 with its simulated powder XRD pattern. Radiation: copper Kα. Structure: a structure optimized by DFT (GGA-PBE).
Neutral-atom scattering factors, no anomalous dispersion.

Most intense lines, 2θ = 10–90°, by intensity:
- 33.2°, intensity 100
- 55.7°, intensity 38
- 66.4°, intensity 24
- 38.6°, intensity 23
- 23.3°, intensity 14
- 49.8°, intensity 12
- 45.6°, intensity 7
- 64.7°, intensity 6
- 68.1°, intensity 6
- 61.2°, intensity 4

```
data_Cu2O3
_space_group_name_H-M_alt 'I a -3'
_space_group_IT_number 206
_space_group_name_Hall '-I 2b 2c 3'
_cell_length_a 9.3402
_cell_length_b 9.3402
_cell_length_c 9.3402
_cell_angle_alpha 90.00
_cell_angle_beta 90.00
_cell_angle_gamma 90.00
loop_
_atom_site_label
_atom_site_type_symbol
_atom_site_fract_x
_atom_site_fract_y
_atom_site_fract_z
Cu1 Cu 0.0000 0.2500 0.4660
Cu2 Cu 0.2500 0.2500 0.2500
O1 O 0.1036 0.1217 0.3358
```